(1)
For KLaHfSnO6, a structure optimized by DFT (PBE) gives the computed PXRD pattern in this record (λ = 1.5418 Å (Cu Kα)).
Intensities are scaled so that the largest is 100.

Crystal structure
a = 5.817 Å, b = 5.817 Å, c = 5.817 Å
α = 60.00°, β = 60.00°, γ = 60.00°
Element x y z (fractional)
K 0.000 0.000 0.000
La 0.500 0.500 0.500
Hf 0.750 0.750 0.750
Sn 0.250 0.250 0.250
O 0.000 0.000 0.500
O 0.000 0.500 0.000
O 0.000 0.500 0.500
O 0.500 0.000 0.000
O 0.500 0.000 0.500
O 0.500 0.500 0.000

Top 10 peaks for 2θ = 15–90°, sorted by position:
2θ (°)	I (rel.)
18.68	14
21.60	14
30.74	100
36.21	8
44.03	31
49.55	7
54.65	41
64.02	19
72.69	18
89.05	22


(2)
For Tm2InPd2, a structure optimized by DFT (PBE) gives the computed PXRD pattern in this record (λ = 1.5418 Å (Cu Kα)).
Intensities are scaled so that the largest is 100.

Crystal structure
a = 7.688 Å, b = 7.688 Å, c = 3.659 Å
α = 90.00°, β = 90.00°, γ = 90.00°
Element x y z (fractional)
Tm 0.172 0.328 0.000
Tm 0.328 0.828 0.000
Tm 0.672 0.172 0.000
Tm 0.828 0.672 0.000
In 0.000 0.000 0.500
In 0.500 0.500 0.500
Pd 0.128 0.628 0.500
Pd 0.372 0.128 0.500
Pd 0.628 0.872 0.500
Pd 0.872 0.372 0.500

Top 10 peaks for 2θ = 15–90°, sorted by position:
2θ (°)	I (rel.)
32.95	10
33.82	32
35.84	100
36.97	42
48.84	9
49.84	14
55.29	15
63.65	17
67.15	9
70.85	12


(3)
For SrGa2As2, a structure optimized by DFT (PBE) gives the computed PXRD pattern in this record (λ = 1.5418 Å (Cu Kα)).
Intensities are scaled so that the largest is 100.

Crystal structure
a = 9.685 Å, b = 4.098 Å, c = 12.650 Å
α = 90.00°, β = 95.61°, γ = 90.00°
Element x y z (fractional)
Sr 0.000 0.000 0.000
Sr 0.198 0.500 0.278
Sr 0.500 0.000 0.500
Sr 0.802 0.500 0.722
Ga 0.108 0.000 0.563
Ga 0.197 0.500 0.825
Ga 0.396 0.500 0.719
Ga 0.399 0.000 0.054
Ga 0.601 0.000 0.946
Ga 0.604 0.500 0.281
Ga 0.803 0.500 0.175
Ga 0.892 0.000 0.437
As 0.052 0.000 0.758
As 0.242 0.500 0.026
As 0.261 0.500 0.533
As 0.447 0.000 0.255
As 0.553 0.000 0.745
As 0.739 0.500 0.467
As 0.758 0.500 0.974
As 0.948 0.000 0.242

Top 10 peaks for 2θ = 15–90°, sorted by position:
2θ (°)	I (rel.)
28.36	43
28.59	100
29.00	27
29.93	28
30.73	18
35.68	15
42.04	31
44.20	53
44.79	25
47.84	24


Number 3 is which compound?
SrGa2As2